# 1
This entry pairs a crystal structure of CrSi4O10 with its calculated powder XRD pattern. Radiation: CuKα. Structure: the PBE+U geometry in the Materials Project.

Crystal structure
Cell: 7.1606 7.9791 9.5601 Å, 105.05 101.66 112.90°
Space group P-1 (No. 2)
Inequivalent atoms, fractional coordinates:
Cr1 0.2402 0.1780 0.0827 x2
Si1 0.1192 0.8782 0.2550 x2
Si2 0.2730 0.5864 0.2866 x2
Si3 0.2979 0.1264 0.7459 x2
Si4 0.4244 0.8016 0.6316 x2
O1 0.0695 0.1239 0.6747 x2
O2 0.0798 0.9392 0.1004 x2
O3 0.1114 0.6640 0.2106 x2
O4 0.1666 0.3541 0.1811 x2
O5 0.2768 0.9099 0.6673 x2
O6 0.2889 0.6179 0.4655 x2
O7 0.3540 0.0409 0.3816 x2
O8 0.3549 0.1852 0.9329 x2
O9 0.4873 0.2949 0.7191 x2
O10 0.4966 0.7342 0.7698 x2

The 10 most intense peaks (2θ from 10° to 90°), by angle:
Position (°2θ), I (rel.), h k l
13.0, 83.0, 0 1 0
14.1, 16.9, 1 -1 0
14.5, 84.9, 1 0 -1
17.4, 100.0, 1 -1 1
20.5, 51.5, 0 0 2
21.3, 95.1, 1 1 -1
23.2, 62.1, 1 -2 0
28.6, 44.8, 0 1 -3
28.8, 19.6, 2 0 0
35.3, 16.6, -2 2 2

# 2
This entry pairs a crystal structure of CrSi4O10 with its calculated powder XRD pattern. Radiation: CuKα. Structure: the PBE+U geometry in the Materials Project.

Crystal structure
Cell: 7.5269 7.5269 16.1997 Å, 90.00 90.00 90.00°
Space group P4/ncc (No. 130, origin choice 2)
Inequivalent atoms, fractional coordinates:
Cr1 0.2500 0.2500 0.0896 x4
Si1 0.0193 0.0666 0.3464 x16
O1 0.0020 0.2218 0.8651 x16
O2 0.0299 0.5299 0.2500 x8
O3 0.0429 0.1194 0.0965 x16

The 10 most intense peaks (2θ from 10° to 90°), by angle:
Position (°2θ), I (rel.), h k l
10.9, 18.2, 0 0 2
16.7, 46.5, 1 1 0
21.9, 100.0, 0 0 4
23.6, 45.7, 2 0 0
25.0, 56.3, 1 0 4
26.1, 35.7, 2 0 2
27.1, 17.0, 2 1 1
28.7, 70.5, 2 1 2
46.4, 17.6, 1 0 8
49.1, 16.1, 3 2 4

# 3
This entry pairs a crystal structure of ZnCrSiO5 with its calculated powder XRD pattern. Radiation: CuKα. Structure: the PBE+U geometry in the Materials Project.

Crystal structure
Cell: 5.3632 5.4222 7.0733 Å, 107.44 107.31 98.77°
Space group P1 (No. 1)
Inequivalent atoms, fractional coordinates:
Zn1 0.0000 0.0000 0.0000 x1
Zn2 0.4423 0.7076 0.5066 x1
Cr1 0.7078 0.3475 0.7395 x1
Cr2 0.7153 0.3453 0.2397 x1
Si1 0.0379 0.9854 0.4877 x1
Si2 0.3821 0.7030 0.9971 x1
O1 0.0213 0.6611 0.3854 x1
O2 0.0502 0.6198 0.8673 x1
O3 0.3667 0.0806 0.6291 x1
O4 0.4099 0.0294 0.1066 x1
O5 0.4642 0.5692 0.1772 x1
O6 0.5513 0.6539 0.8368 x1
O7 0.6320 0.4204 0.4922 x1
O8 0.7948 0.2720 0.9935 x1
O9 0.8531 0.0337 0.6362 x1
O10 0.9635 0.1162 0.3045 x1

The 10 most intense peaks (2θ from 10° to 90°), by angle:
Position (°2θ), I (rel.), h k l
18.0, 14.6, 1 0 0
18.4, 13.8, 1 0 -1
27.5, 100.0, 0 1 -2
28.6, 85.1, 1 1 0
35.8, 38.5, 1 -2 0
36.0, 45.4, 2 -1 0
40.2, 14.5, 1 0 -3
46.7, 14.0, 2 -2 1
51.8, 19.8, 1 1 -4
63.9, 14.3, -2 1 4